Record 1
Sc2Mo4Pb3C3: calculated XRD peak list (Cu Kα (weighted mean of Kα1 and Kα2)), based on the PBE geometry in OQMD.
Kinematic intensities with the Lorentz-polarization factor, no thermal factor.

Principal peaks in the range 10° ≤ 2θ ≤ 90°, by intensity:
d [Å], 2theta, Rel. int.
2.437, 36.88, 100
2.429, 37.01, 50
2.328, 38.67, 27
6.985, 12.67, 26
2.851, 31.37, 23
1.365, 68.79, 22

Atomic structure:
```
data_Sc2Mo4Pb3C3
_chemical_formula_sum 'Sc8 Mo16 Pb12 C12'
_cell_length_a 9.8631
_cell_length_b 5.7286
_cell_length_c 14.3411
_cell_angle_alpha 90.00
_cell_angle_beta 103.06
_cell_angle_gamma 90.00
_symmetry_space_group_name_H-M 'C 1 2/c 1'
_symmetry_Int_Tables_number 15
loop_
_symmetry_equiv_pos_as_xyz
'x,y,z'
'-x,-y,-z'
'-x,y,-z+1/2'
'x,-y,z+1/2'
'x+1/2,y+1/2,z'
'-x+1/2,-y+1/2,-z'
'-x+1/2,y+1/2,-z+1/2'
'x+1/2,-y+1/2,z+1/2'
loop_
_atom_site_label
_atom_site_fract_x
_atom_site_fract_y
_atom_site_fract_z
Sc1 0.0517 0.0798 0.4115
Mo1 0.1067 0.4093 0.5718
Mo2 0.2301 0.4204 0.9283
Pb1 0.0000 0.4339 0.2500
Pb2 0.1762 0.0918 0.7500
C1 0.0857 0.2577 0.0000
C2 0.2500 0.2500 0.5000
```

---

Record 2
Zr4Sc2As3C3: calculated XRD peak list (Cu Kα (weighted mean of Kα1 and Kα2)), based on the PBE geometry in OQMD.
Kinematic intensities with the Lorentz-polarization factor, no thermal factor.

Principal peaks in the range 10° ≤ 2θ ≤ 90°, by intensity:
d [Å], 2theta, Rel. int.
2.447, 36.72, 100
1.730, 52.92, 37
2.996, 29.82, 26
1.094, 89.61, 15
1.341, 70.20, 14
1.413, 66.15, 11

Atomic structure:
```
data_Zr4Sc2As3C3
_chemical_formula_sum 'Zr16 Sc8 As12 C12'
_cell_length_a 10.3771
_cell_length_b 5.9917
_cell_length_c 13.1942
_cell_angle_alpha 90.00
_cell_angle_beta 105.22
_cell_angle_gamma 90.00
_symmetry_space_group_name_H-M 'C 1 2/c 1'
_symmetry_Int_Tables_number 15
loop_
_symmetry_equiv_pos_as_xyz
'x,y,z'
'-x,-y,-z'
'-x,y,-z+1/2'
'x,-y,z+1/2'
'x+1/2,y+1/2,z'
'-x+1/2,-y+1/2,-z'
'-x+1/2,y+1/2,-z+1/2'
'x+1/2,-y+1/2,z+1/2'
loop_
_atom_site_label
_atom_site_fract_x
_atom_site_fract_y
_atom_site_fract_z
Zr1 0.1162 0.0855 0.0991
Zr2 0.2180 0.0823 0.4009
Sc1 0.0494 0.4174 0.9010
As1 0.0000 0.0887 0.7500
As2 0.1639 0.4198 0.2504
C1 0.0854 0.2441 0.5000
C2 0.2500 0.2500 0.0000
```

---

Record 3
GdTe: calculated XRD peak list (Cu Kα (weighted mean of Kα1 and Kα2)), based on the PBE geometry in OQMD.
Kinematic intensities with the Lorentz-polarization factor, no thermal factor.

Principal peaks in the range 10° ≤ 2θ ≤ 90°, by intensity:
d [Å], 2theta, Rel. int.
3.101, 28.79, 100
2.193, 41.17, 76
1.387, 67.54, 35
1.790, 51.01, 27
1.266, 75.02, 26
1.551, 59.63, 13

Atomic structure:
```
data_GdTe
_chemical_formula_sum 'Gd4 Te4'
_cell_length_a 6.2024
_cell_length_b 6.2024
_cell_length_c 6.2024
_cell_angle_alpha 90.00
_cell_angle_beta 90.00
_cell_angle_gamma 90.00
_symmetry_space_group_name_H-M 'F m -3 m'
_symmetry_Int_Tables_number 225
_symmetry_space_group_name_Hall '-F 4 2 3'
loop_
_atom_site_label
_atom_site_fract_x
_atom_site_fract_y
_atom_site_fract_z
Gd1 0.0000 0.0000 0.0000
Te1 0.0000 0.0000 0.5000
```

---

Record 4
NaTaCl6: calculated XRD peak list (Cu Kα (weighted mean of Kα1 and Kα2)), based on the PBE geometry in OQMD.
Kinematic intensities with the Lorentz-polarization factor, no thermal factor.

Principal peaks in the range 10° ≤ 2θ ≤ 90°, by intensity:
d [Å], 2theta, Rel. int.
5.582, 15.88, 100
4.722, 18.79, 61
5.311, 16.69, 49
5.391, 16.44, 45
2.905, 30.78, 34
2.812, 31.82, 31

Atomic structure:
```
data_NaTaCl6
_chemical_formula_sum 'Na4 Ta4 Cl24'
_cell_length_a 6.4770
_cell_length_b 6.8988
_cell_length_c 18.9982
_cell_angle_alpha 90.00
_cell_angle_beta 90.91
_cell_angle_gamma 90.00
_symmetry_space_group_name_H-M 'P 1 21/c 1'
_symmetry_Int_Tables_number 14
loop_
_symmetry_equiv_pos_as_xyz
'x,y,z'
'-x,-y,-z'
'-x,y+1/2,-z+1/2'
'x,-y+1/2,z+1/2'
loop_
_atom_site_label
_atom_site_fract_x
_atom_site_fract_y
_atom_site_fract_z
Na1 0.2103 0.1904 0.2520
Ta1 0.2572 0.7164 0.6140
Cl1 0.0431 0.0373 0.8451
Cl2 0.0782 0.0044 0.6547
Cl3 0.1130 0.7475 0.0044
Cl4 0.3788 0.6873 0.7384
Cl5 0.4128 0.0774 0.0907
Cl6 0.4524 0.1018 0.4088
```